Na2DyNiF8: computed powder XRD pattern (Cu Ka), based on a crystal structure in Alexandria, relaxed with GGA+U.

Top 6 peaks for 2θ = 10–90°, most intense first:
- 2θ 16.76, intensity 100, (0 0 1)
- 2θ 24.80, intensity 89, (1 0 -1)
- 2θ 25.40, intensity 73, (1 0 1)
- 2θ 18.55, intensity 67, (1 0 0)
- 2θ 36.70, intensity 62, (1 2 -1)
- 2θ 31.62, intensity 56, (0 2 1)

Cell and atoms:
a = 4.783 Å, b = 6.697 Å, c = 5.291 Å
α = 90.00°, β = 91.35°, γ = 90.00°
Sites, in units of the cell vectors:
Na 0.000 0.235 0.000
Na 0.000 0.765 0.000
Dy 0.500 0.500 0.500
Ni 0.500 0.000 0.500
F 0.177 0.500 0.216
F 0.224 0.000 0.250
F 0.322 0.225 0.679
F 0.322 0.775 0.679
F 0.678 0.225 0.321
F 0.678 0.775 0.321
F 0.776 0.000 0.750
F 0.823 0.500 0.784